# NaEuZrWO6
Theoretical X-ray diffraction stick pattern, a wavelength of 1.5418 Å. Input: the GGA+U geometry in the Materials Project.

```
data_NaEuZrWO6
_space_group_name_H-M_alt 'F -4 3 m'
_space_group_IT_number 216
_space_group_name_Hall 'F -4 2 3'
_cell_length_a 8.167
_cell_length_b 8.167
_cell_length_c 8.167
_cell_angle_alpha 90.00
_cell_angle_beta 90.00
_cell_angle_gamma 90.00
loop_
_atom_site_label
_atom_site_fract_x
_atom_site_fract_y
_atom_site_fract_z
Na1 0.000 0.000 0.000
Eu1 0.000 0.000 0.500
Zr1 0.250 0.250 0.250
W1 0.250 0.250 0.750
O1 0.007 0.250 0.750
```

The 10 most intense peaks (2θ = 10–80°), low angle first:
2theta, d_spacing, intensity
18.82, 4.715, 31
21.76, 4.083, 13
30.97, 2.887, 100
36.49, 2.462, 18
44.37, 2.042, 31
48.59, 1.874, 8
55.09, 1.667, 40
58.75, 1.572, 6
64.55, 1.444, 19
73.31, 1.291, 17